(1)
PmB3Pt9: theoretical XRD peak list (copper Kα), based on a PBE-relaxed structure.

```
13
Lattice="7.9113 0.0000 0.0000 -3.9556 6.8514 0.0000 0.0000 0.0000 4.1142" Properties=species:S:1:pos:R:3 pbc="T T T"
Pm 0.0000 0.0000 0.0000
B -1.9778 3.4257 2.0571
B 3.9556 0.0000 2.0571
B 1.9778 3.4257 2.0571
Pt -1.9778 3.4257 0.0000
Pt 0.0000 2.7329 2.0571
Pt -1.5889 5.4849 2.0571
Pt 2.3667 1.3664 2.0571
Pt 3.9556 0.0000 0.0000
Pt 1.9778 3.4257 0.0000
Pt 1.5889 5.4849 2.0571
Pt 5.5445 1.3664 2.0571
Pt 3.9556 4.1185 2.0571
```

Top 10 peaks for 2θ = 5–70°, by angle:
Position (°2θ), Rel. int.
21.60, 8
22.48, 9
34.06, 100
34.64, 21
41.19, 35
44.02, 21
45.88, 29
57.19, 10
58.36, 9
65.47, 20

=====

(2)
PmBPt2: theoretical XRD peak list (copper Kα), based on a PBE-relaxed structure.

```
12
Lattice="5.4513 0.0000 0.0000 -2.7256 4.7209 0.0000 0.0000 0.0000 8.0273" Properties=species:S:1:pos:R:3 pbc="T T T"
Pm -1.3628 2.3605 1.3379
Pm 2.7256 0.0000 4.0137
Pm 1.3628 2.3605 6.6894
B -1.3628 2.3605 5.3516
B 2.7256 0.0000 0.0000
B 1.3628 2.3605 2.6758
Pt 0.0000 1.4473 4.0137
Pt -1.4722 3.9973 6.6894
Pt 1.2534 0.7237 1.3379
Pt 1.4722 3.9973 1.3379
Pt 4.1978 0.7237 6.6894
Pt 2.7256 3.2736 4.0137
```

Top 10 peaks for 2θ = 5–70°, by angle:
Position (°2θ), Rel. int.
32.86, 14
33.49, 42
34.76, 100
39.98, 73
47.62, 10
56.98, 26
59.90, 19
63.50, 17
67.74, 15
68.90, 15

=====

(3)
Pm2BPt4: theoretical XRD peak list (copper Kα), based on a PBE-relaxed structure.

```
14
Lattice="5.9874 0.0000 0.0000 0.0000 5.8130 0.0000 -3.0043 0.0000 7.8649" Properties=species:S:1:pos:R:3 pbc="T T T"
Pm 1.1435 1.4533 0.7481
Pm 0.1770 4.3598 3.4029
Pm 2.8061 1.4533 4.4620
Pm 1.8396 4.3598 7.1169
B 0.2791 1.4533 5.4726
B 2.7040 4.3598 2.3924
Pt -0.2238 1.4533 3.4951
Pt -1.0681 2.9813 6.0581
Pt -1.0681 5.7382 6.0581
Pt 1.7841 4.3598 0.5698
Pt 1.1991 1.4533 7.2952
Pt 4.0513 0.0748 1.8068
Pt 4.0513 2.8317 1.8068
Pt 3.2069 4.3598 4.3699
```

Top 10 peaks for 2θ = 5–70°, by angle:
Position (°2θ), Rel. int.
15.83, 21
32.00, 49
32.12, 44
34.78, 24
35.61, 19
38.50, 100
43.01, 33
44.96, 33
63.86, 14
64.07, 20